Structure and computed powder diffractogram of Ce2ScSb3 (the GGA-PBE geometry in Alexandria; Cu Ka).

Largest 10 diffraction maxima, by angle, 2θ from 10° to 90°:
two_theta, intensity, (hkl)
28.6, 52, 0 2 0
28.8, 100, 1 0 3
41.0, 76, 1 2 3
41.2, 19, 2 0 0
41.3, 18, 0 0 6
50.9, 21, 2 2 0
51.0, 19, 0 2 6
67.1, 17, 1 4 3
67.5, 16, 2 2 6
74.9, 13, 3 2 3

Crystal structure
a b c (Å): 4.387 6.252 13.118
angles (deg): 90.00 90.00 90.00
Space group Immm (No. 71)
Unique sites:
Ce 0.000 0.000 0.170 (multiplicity 4)
Sc 0.000 0.000 0.500 (multiplicity 2)
Sb 0.000 0.500 0.155 (multiplicity 4)
Sb 0.000 0.500 0.500 (multiplicity 2)